Theoretical powder diffractogram
Compound: Pr2FeSn4
Radiation: λ = 1.5418 Å (Cu Kα)
Structure: the PBE geometry in the Materials Project
Peak positions follow from Bragg's law for the DFT cell and can differ from measured ones.

Most intense lines, 15° ≤ 2θ ≤ 90°, most intense first:
| two_theta | I_rel |
| --- | --- |
| 31.63 | 1000 |
| 66.05 | 216 |
| 38.69 | 210 |
| 38.98 | 205 |
| 32.02 | 173 |
| 56.09 | 144 |
| 65.64 | 128 |
| 37.61 | 109 |
| 56.83 | 96 |
| 51.07 | 95 |
| 51.30 | 94 |
| 32.92 | 75 |

Atomic structure:
Cell: 4.621 4.654 16.769 Å, 90.00 90.00 90.00°
Space group Amm2 (No. 38)
One atom of each set of equivalent atoms:
Pr1 0.000 0.000 0.000 [2 per cell]
Pr2 0.500 0.000 0.202 [2 per cell]
Fe1 0.000 0.000 0.801 [2 per cell]
Sn1 0.000 0.000 0.359 [2 per cell]
Sn2 0.000 0.000 0.652 [2 per cell]
Sn3 0.500 0.000 0.532 [2 per cell]
Sn4 0.500 0.000 0.856 [2 per cell]